(1)
TbPm3ErTm: computed powder X-ray diffraction pattern (Cu Kα X-rays), based on a structure optimized by DFT (GGA-PBE).
No peak broadening, texture or thermal motion is included.

Cell and atoms:
```
data_TbPm3ErTm
_symmetry_space_group_name_H-M 'P 1 21/m 1'
_symmetry_Int_Tables_number 11
_cell_length_a 8.0060
_cell_length_b 5.0831
_cell_length_c 10.1321
_cell_angle_alpha 90.00
_cell_angle_beta 108.55
_cell_angle_gamma 90.00
loop_
_symmetry_equiv_pos_as_xyz
'x,y,z'
'-x,-y,-z'
'-x,y+1/2,-z'
'x,-y+1/2,z'
loop_
_atom_site_label
_atom_site_fract_x
_atom_site_fract_y
_atom_site_fract_z
Tb1 0.1707 0.2500 0.2930
Pm1 0.1688 0.7500 0.0426
Pm2 0.1693 0.7500 0.5418
Pm3 0.1696 0.2500 0.7919
Er1 0.4986 0.2500 0.1257
Tm1 0.5005 0.2500 0.6239
```

Principal peaks in the range 10 to 90 degrees two-theta, by intensity:
h k l, 2θ/deg, d (Å), intensity
1 1 2, 30.54, 2.927, 100
3 0 0, 35.46, 2.532, 34
0 1 6, 60.62, 1.528, 21
3 2 0, 50.94, 1.793, 18
0 2 0, 35.32, 2.542, 17
1 3 2, 60.45, 1.532, 14
2 2 4, 63.57, 1.463, 12
1 2 -4, 50.90, 1.794, 12

***

(2)
TbPm2ErTm2: computed powder X-ray diffraction pattern (Cu Kα X-rays), based on a structure optimized by DFT (GGA-PBE).
No peak broadening, texture or thermal motion is included.

Cell and atoms:
```
data_TbPm2ErTm2
_symmetry_space_group_name_H-M 'P m m a'
_symmetry_Int_Tables_number 51
_cell_length_a 6.9983
_cell_length_b 5.6136
_cell_length_c 9.6896
_cell_angle_alpha 90.00
_cell_angle_beta 90.00
_cell_angle_gamma 90.00
loop_
_symmetry_equiv_pos_as_xyz
'x,y,z'
'-x,-y,-z'
'-x+1/2,-y,z'
'x+1/2,y,-z'
'x+1/2,-y,-z'
'-x+1/2,y,z'
'-x,y,-z'
'x,-y,z'
loop_
_atom_site_label
_atom_site_fract_x
_atom_site_fract_y
_atom_site_fract_z
Tb1 0.2500 0.0000 0.1819
Pm1 0.2500 0.0000 0.8479
Pm2 0.2500 0.5000 0.3215
Er1 0.0000 0.5000 0.0000
Tm1 0.0000 0.0000 0.5000
Tm2 0.2500 0.5000 0.6557
```

Principal peaks in the range 10 to 90 degrees two-theta, by intensity:
h k l, 2θ/deg, d (Å), intensity
0 2 0, 31.94, 2.802, 100
2 1 1, 31.52, 2.838, 96
2 2 2, 45.49, 1.994, 34
4 2 0, 62.59, 1.484, 29
2 3 1, 56.62, 1.626, 24
0 3 3, 56.87, 1.619, 13
2 1 5, 56.72, 1.623, 11
4 3 3, 80.89, 1.188, 9

***

(3)
TbPmY2Er5: computed powder X-ray diffraction pattern (Cu Kα X-rays), based on a structure optimized by DFT (GGA-PBE).
No peak broadening, texture or thermal motion is included.

Cell and atoms:
```
data_TbPmY2Er5
_symmetry_space_group_name_H-M 'C m c 21'
_symmetry_Int_Tables_number 36
_cell_length_a 5.5952
_cell_length_b 19.6666
_cell_length_c 10.5740
_cell_angle_alpha 90.00
_cell_angle_beta 90.00
_cell_angle_gamma 90.00
loop_
_symmetry_equiv_pos_as_xyz
'x,y,z'
'-x,-y,z+1/2'
'-x,y,z'
'x,-y,z+1/2'
'x+1/2,y+1/2,z'
'-x+1/2,-y+1/2,z+1/2'
'-x+1/2,y+1/2,z'
'x+1/2,-y+1/2,z+1/2'
loop_
_atom_site_label
_atom_site_fract_x
_atom_site_fract_y
_atom_site_fract_z
Tb1 0.0000 0.2017 0.0000
Pm1 0.0000 0.4167 0.4431
Y1 0.0000 0.1099 0.7237
Y2 0.0000 0.1133 0.3089
Er1 0.0000 0.0191 0.0151
Er2 0.0000 0.2828 0.2985
Er3 0.0000 0.2986 0.6974
Er4 0.0000 0.3906 0.0110
Er5 0.0000 0.4788 0.7253
```

Principal peaks in the range 10 to 90 degrees two-theta, by intensity:
h k l, 2θ/deg, d (Å), intensity
1 5 2, 32.58, 2.749, 100
2 0 0, 31.99, 2.798, 40
1 1 3, 30.31, 2.949, 39
3 5 2, 57.40, 1.605, 21
0 6 1, 28.51, 3.131, 21
1 11 3, 60.36, 1.533, 13
2 6 1, 43.38, 2.086, 13
0 0 4, 33.91, 2.643, 13